Computed powder X-ray diffraction pattern
Compound: Ac6Nd8Sm
Radiation: CuKα
Structure: a cell relaxed with PBE
No peak broadening, texture or thermal motion is included.

Peak list (6 most intense, 10° ≤ 2θ ≤ 90°, in order of rising 2θ)
2θ = 28.7°, rel. 39, (3 -1 1); 2θ = 29.5°, rel. 100, (3 -2 2); 2θ = 30.3°, rel. 30, (1 0 7); 2θ = 30.6°, rel. 19, (1 1 6); 2θ = 34.6°, rel. 13, (0 3 3); 2θ = 51.9°, rel. 16, (5 -1 3)

Atomic structure:
```
data_Ac6Nd8Sm
_space_group_name_H-M_alt 'R -3'
_space_group_IT_number 148
_space_group_name_Hall '-R 3'
_cell_length_a 9.6000
_cell_length_b 9.6000
_cell_length_c 22.0866
_cell_angle_alpha 90.00
_cell_angle_beta 90.00
_cell_angle_gamma 120.00
loop_
_atom_site_label
_atom_site_type_symbol
_atom_site_fract_x
_atom_site_fract_y
_atom_site_fract_z
Ac1 Ac 0.0509 0.2514 0.2093
Nd1 Nd 0.0000 0.0000 0.0748
Nd2 Nd 0.0812 0.5682 0.3067
Sm1 Sm 0.0000 0.0000 0.5000
```

Computed powder X-ray diffraction pattern
Compound: PmThMo
Radiation: CuKα
Structure: a cell relaxed with PBE
No peak broadening, texture or thermal motion is included.

Peak list (6 most intense, 10° ≤ 2θ ≤ 90°, in order of rising 2θ)
2θ = 26.0°, rel. 19, (1 1 1); 2θ = 33.6°, rel. 100, (1 3 1); 2θ = 35.0°, rel. 28, (0 0 2); 2θ = 36.1°, rel. 26, (2 0 0); 2θ = 51.2°, rel. 19, (2 0 2); 2θ = 61.9°, rel. 17, (1 3 3)

Atomic structure:
```
data_PmThMo
_space_group_name_H-M_alt 'C m c m'
_space_group_IT_number 63
_space_group_name_Hall '-C 2c 2'
_cell_length_a 4.9751
_cell_length_b 12.0577
_cell_length_c 5.1269
_cell_angle_alpha 90.00
_cell_angle_beta 90.00
_cell_angle_gamma 90.00
loop_
_atom_site_label
_atom_site_type_symbol
_atom_site_fract_x
_atom_site_fract_y
_atom_site_fract_z
Pm1 Pm 0.0000 0.0889 0.2500
Th1 Th 0.0000 0.3804 0.2500
Mo1 Mo 0.0000 0.2433 0.7500
```

Computed powder X-ray diffraction pattern
Compound: Li2GaPt3
Radiation: CuKα
Structure: a cell relaxed with PBE
No peak broadening, texture or thermal motion is included.

Peak list (6 most intense, 10° ≤ 2θ ≤ 90°, in order of rising 2θ)
2θ = 20.8°, rel. 100, (1 1 1); 2θ = 40.5°, rel. 60, (3 1 1); 2θ = 42.4°, rel. 66, (2 2 2); 2θ = 49.4°, rel. 31, (4 0 0); 2θ = 54.1°, rel. 22, (3 3 1); 2θ = 87.7°, rel. 22, (6 2 2)

Atomic structure:
```
data_Li2GaPt3
_space_group_name_H-M_alt 'P 41 3 2'
_space_group_IT_number 213
_space_group_name_Hall 'P 4bd 2ab 3'
_cell_length_a 7.3840
_cell_length_b 7.3840
_cell_length_c 7.3840
_cell_angle_alpha 90.00
_cell_angle_beta 90.00
_cell_angle_gamma 90.00
loop_
_atom_site_label
_atom_site_type_symbol
_atom_site_fract_x
_atom_site_fract_y
_atom_site_fract_z
Li1 Li 0.0151 0.0151 0.0151
Ga1 Ga 0.1250 0.6250 0.8750
Pt1 Pt 0.1113 0.8750 0.6387
```

Computed powder X-ray diffraction pattern
Compound: CaBPt3
Radiation: CuKα
Structure: a cell relaxed with PBE
No peak broadening, texture or thermal motion is included.

Peak list (6 most intense, 10° ≤ 2θ ≤ 90°, in order of rising 2θ)
2θ = 12.7°, rel. 30, (2 0 0); 2θ = 21.5°, rel. 54, (1 1 0); 2θ = 34.6°, rel. 91, (3 1 1); 2θ = 38.1°, rel. 43, (6 0 -1); 2θ = 39.1°, rel. 100, (3 1 -2); 2θ = 41.7°, rel. 45, (0 2 0)

Atomic structure:
```
data_CaBPt3
_space_group_name_H-M_alt 'C 1 2/m 1'
_space_group_IT_number 12
_space_group_name_Hall '-C 2y'
_cell_length_a 14.3929
_cell_length_b 4.3314
_cell_length_c 5.8211
_cell_angle_alpha 90.00
_cell_angle_beta 103.64
_cell_angle_gamma 90.00
loop_
_atom_site_label
_atom_site_type_symbol
_atom_site_fract_x
_atom_site_fract_y
_atom_site_fract_z
Ca1 Ca 0.1051 0.0000 0.1878
B1 B 0.1663 0.5000 0.8688
Pt1 Pt 0.0228 0.5000 0.7551
Pt2 Pt 0.1832 0.5000 0.5262
Pt3 Pt 0.2228 0.0000 0.8356
```

Computed powder X-ray diffraction pattern
Compound: Cr2B4W
Radiation: CuKα
Structure: a cell relaxed with PBE
No peak broadening, texture or thermal motion is included.

Peak list (6 most intense, 10° ≤ 2θ ≤ 90°, in order of rising 2θ)
2θ = 13.4°, rel. 83, (0 0 2); 2θ = 30.0°, rel. 81, (0 1 1); 2θ = 36.3°, rel. 87, (1 0 3); 2θ = 44.5°, rel. 100, (1 1 2); 2θ = 45.5°, rel. 54, (0 1 5); 2θ = 50.9°, rel. 37, (1 1 4)

Atomic structure:
```
data_Cr2B4W
_space_group_name_H-M_alt 'I m m m'
_space_group_IT_number 71
_space_group_name_Hall '-I 2 2'
_cell_length_a 2.9978
_cell_length_b 3.0553
_cell_length_c 13.1747
_cell_angle_alpha 90.00
_cell_angle_beta 90.00
_cell_angle_gamma 90.00
loop_
_atom_site_label
_atom_site_type_symbol
_atom_site_fract_x
_atom_site_fract_y
_atom_site_fract_z
Cr1 Cr 0.0000 0.0000 0.1854
B1 B 0.0000 0.0000 0.3545
B2 B 0.0000 0.5000 0.0707
W1 W 0.0000 0.5000 0.5000
```

Computed powder X-ray diffraction pattern
Compound: Pr3Er2
Radiation: CuKα
Structure: a cell relaxed with PBE
No peak broadening, texture or thermal motion is included.

Peak list (6 most intense, 10° ≤ 2θ ≤ 90°, in order of rising 2θ)
2θ = 28.2°, rel. 29, (0 0 2); 2θ = 29.2°, rel. 52, (1 4 1); 2θ = 30.2°, rel. 100, (1 5 0); 2θ = 31.6°, rel. 85, (2 1 1); 2θ = 32.0°, rel. 24, (1 1 2); 2θ = 52.2°, rel. 27, (2 1 3)

Atomic structure:
```
data_Pr3Er2
_space_group_name_H-M_alt 'I b a m'
_space_group_IT_number 72
_space_group_name_Hall '-I 2 2c'
_cell_length_a 6.4497
_cell_length_b 16.6803
_cell_length_c 6.3204
_cell_angle_alpha 90.00
_cell_angle_beta 90.00
_cell_angle_gamma 90.00
loop_
_atom_site_label
_atom_site_type_symbol
_atom_site_fract_x
_atom_site_fract_y
_atom_site_fract_z
Pr1 Pr 0.0000 0.0000 0.2500
Pr2 Pr 0.0987 0.3997 0.0000
Er1 Er 0.1275 0.1949 0.0000
```

Repeat the fourth record exactly.
Computed powder X-ray diffraction pattern
Compound: CaBPt3
Radiation: CuKα
Structure: a cell relaxed with PBE
No peak broadening, texture or thermal motion is included.

Peak list (6 most intense, 10° ≤ 2θ ≤ 90°, in order of rising 2θ)
2θ = 12.7°, rel. 30, (2 0 0); 2θ = 21.5°, rel. 54, (1 1 0); 2θ = 34.6°, rel. 91, (3 1 1); 2θ = 38.1°, rel. 43, (6 0 -1); 2θ = 39.1°, rel. 100, (3 1 -2); 2θ = 41.7°, rel. 45, (0 2 0)

Atomic structure:
```
data_CaBPt3
_space_group_name_H-M_alt 'C 1 2/m 1'
_space_group_IT_number 12
_space_group_name_Hall '-C 2y'
_cell_length_a 14.3929
_cell_length_b 4.3314
_cell_length_c 5.8211
_cell_angle_alpha 90.00
_cell_angle_beta 103.64
_cell_angle_gamma 90.00
loop_
_atom_site_label
_atom_site_type_symbol
_atom_site_fract_x
_atom_site_fract_y
_atom_site_fract_z
Ca1 Ca 0.1051 0.0000 0.1878
B1 B 0.1663 0.5000 0.8688
Pt1 Pt 0.0228 0.5000 0.7551
Pt2 Pt 0.1832 0.5000 0.5262
Pt3 Pt 0.2228 0.0000 0.8356
```

Please write out number 5 again, unchanged.
Computed powder X-ray diffraction pattern
Compound: Cr2B4W
Radiation: CuKα
Structure: a cell relaxed with PBE
No peak broadening, texture or thermal motion is included.

Peak list (6 most intense, 10° ≤ 2θ ≤ 90°, in order of rising 2θ)
2θ = 13.4°, rel. 83, (0 0 2); 2θ = 30.0°, rel. 81, (0 1 1); 2θ = 36.3°, rel. 87, (1 0 3); 2θ = 44.5°, rel. 100, (1 1 2); 2θ = 45.5°, rel. 54, (0 1 5); 2θ = 50.9°, rel. 37, (1 1 4)

Atomic structure:
```
data_Cr2B4W
_space_group_name_H-M_alt 'I m m m'
_space_group_IT_number 71
_space_group_name_Hall '-I 2 2'
_cell_length_a 2.9978
_cell_length_b 3.0553
_cell_length_c 13.1747
_cell_angle_alpha 90.00
_cell_angle_beta 90.00
_cell_angle_gamma 90.00
loop_
_atom_site_label
_atom_site_type_symbol
_atom_site_fract_x
_atom_site_fract_y
_atom_site_fract_z
Cr1 Cr 0.0000 0.0000 0.1854
B1 B 0.0000 0.0000 0.3545
B2 B 0.0000 0.5000 0.0707
W1 W 0.0000 0.5000 0.5000
```